Entry 1:
Diffraction record for SrCaDyBiO6. The powder diffraction line list is calculated, not measured: it uses DFT lattice parameters and positions (PBE) and copper Kα.

Main lines, by angle (15° ≤ 2θ ≤ 90°):
2θ 20.75, d = 4.281 Å, I = 40
2θ 29.51, d = 3.027 Å, I = 100
2θ 42.22, d = 2.140 Å, I = 31
2θ 47.49, d = 1.915 Å, I = 19
2θ 52.35, d = 1.748 Å, I = 42
2θ 61.24, d = 1.514 Å, I = 20
2θ 69.43, d = 1.354 Å, I = 18
2θ 84.72, d = 1.144 Å, I = 22

Atomic structure:
Cell: 6.0542 6.0542 6.0542 Å, 60.00 60.00 60.00°
Positions (direct):
Sr  0.0000  0.0000  0.0000
Ca  0.5000  0.5000  0.5000
Dy  0.7500  0.7500  0.7500
Bi  0.2500  0.2500  0.2500
O  0.0055  0.0055  0.4945
O  0.0055  0.4945  0.0055
O  0.0055  0.4945  0.4945
O  0.4945  0.0055  0.0055
O  0.4945  0.0055  0.4945
O  0.4945  0.4945  0.0055

Entry 2:
Diffraction record for KHfMg6O7. The powder diffraction line list is calculated, not measured: it uses DFT lattice parameters and positions (PBE) and copper Kα.

Main lines, by angle (15° ≤ 2θ ≤ 90°):
2θ 19.45, d = 4.563 Å, I = 46
2θ 19.56, d = 4.539 Å, I = 88
2θ 21.87, d = 4.064 Å, I = 79
2θ 27.75, d = 3.215 Å, I = 75
2θ 29.50, d = 3.027 Å, I = 45
2θ 34.16, d = 2.625 Å, I = 82
2θ 39.72, d = 2.269 Å, I = 100
2θ 57.26, d = 1.609 Å, I = 54

Atomic structure:
Cell: 4.5385 4.5385 9.1267 Å, 90.00 90.00 90.00°
Positions (direct):
K  0.0000  0.0000  0.0000
Hf  0.0000  0.0000  0.4951
Mg  0.0000  0.5000  0.2134
Mg  0.0000  0.5000  0.7533
Mg  0.5000  0.0000  0.2134
Mg  0.5000  0.0000  0.7533
Mg  0.5000  0.5000  0.5088
Mg  0.5000  0.5000  0.9711
O  0.0000  0.0000  0.2717
O  0.0000  0.0000  0.7180
O  0.0000  0.5000  0.5119
O  0.0000  0.5000  0.9753
O  0.5000  0.0000  0.5119
O  0.5000  0.0000  0.9753
O  0.5000  0.5000  0.7394

Entry 3:
Diffraction record for Hf3N2. The powder diffraction line list is calculated, not measured: it uses DFT lattice parameters and positions (PBE) and copper Kα.

Main lines, by angle (15° ≤ 2θ ≤ 90°):
2θ 32.65, d = 2.743 Å, I = 28
2θ 33.76, d = 2.655 Å, I = 48
2θ 35.83, d = 2.506 Å, I = 100
2θ 37.62, d = 2.391 Å, I = 83
2θ 57.85, d = 1.594 Å, I = 38
2θ 60.51, d = 1.530 Å, I = 23
2θ 68.68, d = 1.367 Å, I = 39
2θ 71.05, d = 1.327 Å, I = 20

Atomic structure:
Cell: 8.1752 8.1752 8.1752 Å, 22.49 22.49 22.49°
Positions (direct):
Hf  0.0000  0.0000  0.0000
Hf  0.2222  0.2222  0.2222
Hf  0.4460  0.4460  0.4460
N  0.6106  0.6106  0.6106
N  0.7256  0.7256  0.7256

Entry 4:
Diffraction record for Ba2PrZrO6. The powder diffraction line list is calculated, not measured: it uses DFT lattice parameters and positions (PBE) and copper Kα.

Main lines, by angle (15° ≤ 2θ ≤ 90°):
2θ 28.51, d = 3.130 Å, I = 100
2θ 40.76, d = 2.214 Å, I = 29
2θ 50.50, d = 1.807 Å, I = 43
2θ 59.01, d = 1.565 Å, I = 18
2θ 66.83, d = 1.400 Å, I = 18
2θ 74.20, d = 1.278 Å, I = 6
2θ 81.32, d = 1.183 Å, I = 22
2θ 88.30, d = 1.107 Å, I = 3

Atomic structure:
Cell: 8.8542 8.8542 8.8542 Å, 90.00 90.00 90.00°
Positions (direct):
Ba  0.2500  0.2500  0.2500
Ba  0.2500  0.2500  0.7500
Ba  0.2500  0.7500  0.2500
Ba  0.2500  0.7500  0.7500
Ba  0.7500  0.2500  0.2500
Ba  0.7500  0.2500  0.7500
Ba  0.7500  0.7500  0.2500
Ba  0.7500  0.7500  0.7500
Pr  0.0000  0.0000  0.0000
Pr  0.0000  0.5000  0.5000
Pr  0.5000  0.0000  0.5000
Pr  0.5000  0.5000  0.0000
Zr  0.0000  0.0000  0.5000
Zr  0.0000  0.5000  0.0000
Zr  0.5000  0.0000  0.0000
Zr  0.5000  0.5000  0.5000
O  0.0247  0.5281  0.7632
O  0.0247  0.9719  0.7368
O  0.0281  0.2368  0.5247
O  0.0281  0.2632  0.9753
O  0.2368  0.5247  0.0281
O  0.2368  0.9753  0.4719
O  0.2632  0.5247  0.4719
O  0.2632  0.9753  0.0281
O  0.4719  0.2368  0.9753
O  0.4719  0.2632  0.5247
O  0.4753  0.5281  0.7368
O  0.4753  0.9719  0.7632
O  0.5247  0.0281  0.2368
O  0.5247  0.4719  0.2632
O  0.5281  0.7368  0.4753
O  0.5281  0.7632  0.0247
O  0.7368  0.0247  0.9719
O  0.7368  0.4753  0.5281
O  0.7632  0.0247  0.5281
O  0.7632  0.4753  0.9719
O  0.9719  0.7368  0.0247
O  0.9719  0.7632  0.4753
O  0.9753  0.0281  0.2632
O  0.9753  0.4719  0.2368